(1)
Simulated XRD peak list of CsAl2Sn2 for CuKα, from a crystal structure in Alexandria, relaxed with PBE.

Cell and atoms:
Cell lengths 3.9529, 3.9529, 9.9936 Å; angles 90.00, 90.00, 90.00 degrees
Space group P4/mmm (No. 123)
One atom of each set of equivalent atoms:
Cs 0.0000 0.0000 0.0000 [1 per cell]
Al 0.0000 0.5000 0.5000 [2 per cell]
Sn 0.5000 0.5000 0.2883 [2 per cell]

The 10 most intense peaks (2θ = 10–90°), in order of rising 2θ:
| Position (°2θ) | Rel. int. |
| --- | --- |
| 24.2 | 46 |
| 26.8 | 14 |
| 28.8 | 100 |
| 32.0 | 32 |
| 35.9 | 12 |
| 42.2 | 35 |
| 45.9 | 21 |
| 51.2 | 22 |
| 55.1 | 34 |
| 71.2 | 17 |

---

(2)
Simulated XRD peak list of CsTaAl for CuKα, from a crystal structure in Alexandria, relaxed with PBE.

Cell and atoms:
Cell lengths 29.7041, 3.5218, 3.5234 Å; angles 90.00, 95.48, 90.00 degrees
Space group C2/m (No. 12)
One atom of each set of equivalent atoms:
Cs 0.0841 0.0000 0.1151 [4 per cell]
Ta 0.2259 0.0000 0.2307 [4 per cell]
Al 0.1803 0.5000 0.6940 [4 per cell]

The 10 most intense peaks (2θ = 10–90°), in order of rising 2θ:
| Position (°2θ) | Rel. int. |
| --- | --- |
| 12.0 | 28 |
| 18.0 | 100 |
| 25.4 | 42 |
| 32.7 | 29 |
| 33.1 | 67 |
| 33.5 | 37 |
| 36.1 | 85 |
| 37.4 | 28 |
| 47.6 | 29 |
| 51.9 | 29 |

---

(3)
Simulated XRD peak list of CsAlTe2 for CuKα, from a crystal structure in Alexandria, relaxed with PBE.

Cell and atoms:
Cell lengths 7.6032, 12.0052, 7.3730 Å; angles 90.00, 90.00, 90.00 degrees
Space group Pna2_1 (No. 33)
One atom of each set of equivalent atoms:
Cs 0.0572 0.1258 0.0000 [4 per cell]
Al 0.0372 0.3741 0.4524 [4 per cell]
Te 0.0505 0.4333 0.1037 [4 per cell]
Te 0.1342 0.8125 0.0320 [4 per cell]

The 10 most intense peaks (2θ = 10–90°), in order of rising 2θ:
| Position (°2θ) | Rel. int. |
| --- | --- |
| 23.4 | 41 |
| 24.1 | 100 |
| 25.1 | 52 |
| 25.3 | 83 |
| 26.4 | 98 |
| 27.9 | 71 |
| 32.5 | 28 |
| 35.1 | 38 |
| 44.0 | 28 |
| 48.6 | 51 |

---

(4)
Simulated XRD peak list of CsAlTe2 for CuKα, from a crystal structure in Alexandria, relaxed with PBE.

Cell and atoms:
Cell lengths 8.3657, 8.3657, 6.5584 Å; angles 90.00, 90.00, 90.00 degrees
Space group P4_2/m (No. 84)
One atom of each set of equivalent atoms:
Cs 0.0000 0.5000 0.0000 [2 per cell]
Al 0.0000 0.0000 0.2500 [2 per cell]
Te 0.0940 0.7701 0.5000 [4 per cell]

The 10 most intense peaks (2θ = 10–90°), in order of rising 2θ:
| Position (°2θ) | Rel. int. |
| --- | --- |
| 10.6 | 69 |
| 20.2 | 27 |
| 25.3 | 24 |
| 27.2 | 22 |
| 27.4 | 100 |
| 33.9 | 22 |
| 36.4 | 15 |
| 44.0 | 28 |
| 48.2 | 28 |
| 56.8 | 19 |

---

(5)
Simulated XRD peak list of Cs3AlTe3 for CuKα, from a crystal structure in Alexandria, relaxed with PBE.

Cell and atoms:
Cell lengths 9.3200, 14.7706, 12.4074 Å; angles 90.00, 127.77, 90.00 degrees
Space group P2_1/c (No. 14)
One atom of each set of equivalent atoms:
Cs 0.1217 0.1288 0.4733 [4 per cell]
Cs 0.1525 0.0708 0.8926 [4 per cell]
Cs 0.3768 0.7008 0.6086 [4 per cell]
Al 0.4322 0.0541 0.3418 [4 per cell]
Te 0.1493 0.1618 0.1868 [4 per cell]
Te 0.3557 0.6084 0.8926 [4 per cell]
Te 0.3848 0.5458 0.2551 [4 per cell]

The 10 most intense peaks (2θ = 10–90°), in order of rising 2θ:
| Position (°2θ) | Rel. int. |
| --- | --- |
| 23.1 | 53 |
| 23.6 | 40 |
| 24.9 | 100 |
| 25.1 | 49 |
| 25.8 | 42 |
| 26.0 | 61 |
| 26.3 | 43 |
| 29.9 | 57 |
| 29.9 | 30 |
| 30.3 | 33 |

---

(6)
Simulated XRD peak list of Cs2Al7Tl for CuKα, from a crystal structure in Alexandria, relaxed with PBE.

Cell and atoms:
Cell lengths 4.6631, 4.6631, 12.3533 Å; angles 90.00, 90.00, 90.00 degrees
Space group P4mm (No. 99)
One atom of each set of equivalent atoms:
Cs 0.0000 0.0000 0.0000 [1 per cell]
Cs 0.5000 0.5000 0.4904 [1 per cell]
Al 0.0000 0.0000 0.3610 [1 per cell]
Al 0.0000 0.5000 0.2418 [2 per cell]
Al 0.0000 0.5000 0.7609 [2 per cell]
Al 0.5000 0.5000 0.1179 [1 per cell]
Al 0.5000 0.5000 0.8813 [1 per cell]
Tl 0.0000 0.0000 0.6151 [1 per cell]

The 10 most intense peaks (2θ = 10–90°), in order of rising 2θ:
| Position (°2θ) | Rel. int. |
| --- | --- |
| 14.3 | 31 |
| 23.9 | 26 |
| 27.0 | 51 |
| 28.9 | 100 |
| 30.7 | 71 |
| 34.9 | 19 |
| 38.6 | 45 |
| 41.4 | 51 |
| 49.0 | 47 |
| 57.9 | 35 |